Rb3Np3Te8Pb: computed powder X-ray diffraction pattern (Cu Kα X-rays), based on a cell relaxed with PBE.
Lines closer than 0.1° are merged.

The 10 most intense peaks (2θ from 15° to 90°), in order of rising 2θ:
| 2θ (°) | I/Imax |
| --- | --- |
| 26.55 | 100 |
| 33.41 | 22 |
| 36.14 | 35 |
| 39.58 | 37 |
| 41.02 | 13 |
| 45.24 | 13 |
| 48.29 | 19 |
| 54.67 | 10 |
| 59.36 | 11 |
| 64.14 | 16 |

Structure:
Unit cell a=10.025 b=10.025 c=10.025 alpha=54.04 beta=54.04 gamma=54.04
Sites, in units of the cell vectors:
Rb 0.000 0.500 0.500
Rb 0.500 0.000 0.500
Rb 0.500 0.500 0.000
Np 0.000 0.000 0.500
Np 0.000 0.500 0.000
Np 0.500 0.000 0.000
Te 0.212 0.744 0.744
Te 0.233 0.233 0.233
Te 0.256 0.256 0.788
Te 0.256 0.788 0.256
Te 0.744 0.212 0.744
Te 0.744 0.744 0.212
Te 0.767 0.767 0.767
Te 0.788 0.256 0.256
Pb 0.500 0.500 0.500


NpTlPb2S4: computed powder X-ray diffraction pattern (Cu Kα X-rays), based on a cell relaxed with PBE.
Lines closer than 0.1° are merged.

The 10 most intense peaks (2θ from 15° to 90°), in order of rising 2θ:
| 2θ (°) | I/Imax |
| --- | --- |
| 25.78 | 100 |
| 29.51 | 34 |
| 30.03 | 66 |
| 42.60 | 50 |
| 42.98 | 25 |
| 50.13 | 19 |
| 50.80 | 35 |
| 53.00 | 26 |
| 68.12 | 16 |
| 78.51 | 17 |

Structure:
Unit cell a=7.374 b=7.374 c=7.374 alpha=132.40 beta=132.40 gamma=69.60
Sites, in units of the cell vectors:
Np 0.000 0.000 0.000
Tl 0.750 0.250 0.500
Pb 0.250 0.750 0.500
Pb 0.500 0.500 0.000
S 0.008 0.508 0.500
S 0.225 0.225 0.000
S 0.492 0.992 0.500
S 0.775 0.775 0.000


Np2SbPb: computed powder X-ray diffraction pattern (Cu Kα X-rays), based on a cell relaxed with PBE.
Lines closer than 0.1° are merged.

The 10 most intense peaks (2θ from 15° to 90°), in order of rising 2θ:
| 2θ (°) | I/Imax |
| --- | --- |
| 32.85 | 100 |
| 36.72 | 38 |
| 40.77 | 13 |
| 52.90 | 14 |
| 56.02 | 21 |
| 63.68 | 31 |
| 68.87 | 11 |
| 69.22 | 10 |
| 87.33 | 7 |
| 89.54 | 7 |

Structure:
Unit cell a=3.462 b=3.462 c=8.852 alpha=90.00 beta=90.00 gamma=90.00
Sites, in units of the cell vectors:
Np 0.000 0.000 0.235
Np 0.000 0.000 0.765
Sb 0.500 0.500 0.000
Pb 0.500 0.500 0.500


Np4PbSe8: computed powder X-ray diffraction pattern (Cu Kα X-rays), based on a cell relaxed with PBE.
Lines closer than 0.1° are merged.

The 10 most intense peaks (2θ from 15° to 90°), in order of rising 2θ:
| 2θ (°) | I/Imax |
| --- | --- |
| 24.63 | 95 |
| 27.46 | 49 |
| 27.71 | 99 |
| 34.93 | 53 |
| 35.04 | 48 |
| 35.36 | 100 |
| 43.29 | 33 |
| 43.41 | 66 |
| 45.13 | 29 |
| 56.76 | 31 |

Structure:
Unit cell a=8.316 b=8.316 c=10.095 alpha=127.20 beta=127.20 gamma=60.36
Sites, in units of the cell vectors:
Np 0.232 0.232 0.496
Np 0.245 0.755 0.000
Np 0.755 0.245 0.000
Np 0.768 0.768 0.504
Pb 0.500 0.500 0.500
Se 0.031 0.031 0.840
Se 0.037 0.510 0.331
Se 0.490 0.963 0.669
Se 0.491 0.491 0.181
Se 0.509 0.509 0.819
Se 0.510 0.037 0.331
Se 0.963 0.490 0.669
Se 0.969 0.969 0.160


NpTl3Te6Pb2: computed powder X-ray diffraction pattern (Cu Kα X-rays), based on a cell relaxed with PBE.
Lines closer than 0.1° are merged.

The 10 most intense peaks (2θ from 15° to 90°), in order of rising 2θ:
| 2θ (°) | I/Imax |
| --- | --- |
| 26.92 | 100 |
| 37.64 | 13 |
| 37.83 | 26 |
| 39.04 | 25 |
| 39.23 | 12 |
| 47.91 | 8 |
| 48.22 | 13 |
| 55.49 | 12 |
| 61.88 | 11 |
| 63.57 | 11 |

Structure:
Unit cell a=7.967 b=7.967 c=8.344 alpha=99.12 beta=99.12 gamma=119.68
Sites, in units of the cell vectors:
Np 0.000 0.000 0.000
Tl 0.171 0.829 0.500
Tl 0.500 0.500 0.500
Tl 0.829 0.171 0.500
Te 0.072 0.381 0.218
Te 0.233 0.233 0.775
Te 0.381 0.072 0.218
Te 0.619 0.928 0.782
Te 0.767 0.767 0.225
Te 0.928 0.619 0.782
Pb 0.335 0.665 0.000
Pb 0.665 0.335 0.000


NpTi2Pb: computed powder X-ray diffraction pattern (Cu Kα X-rays), based on a cell relaxed with PBE.
Lines closer than 0.1° are merged.

The 10 most intense peaks (2θ from 15° to 90°), in order of rising 2θ:
| 2θ (°) | I/Imax |
| --- | --- |
| 22.33 | 1 |
| 25.84 | 50 |
| 36.86 | 100 |
| 45.57 | 16 |
| 53.12 | 18 |
| 59.99 | 22 |
| 66.41 | 36 |
| 78.45 | 11 |
| 84.25 | 11 |
| 89.98 | 17 |

Structure:
Unit cell a=4.876 b=4.876 c=4.876 alpha=60.00 beta=60.00 gamma=60.00
Sites, in units of the cell vectors:
Np 0.000 0.000 0.000
Ti 0.250 0.250 0.250
Ti 0.750 0.750 0.750
Pb 0.500 0.500 0.500


What did the fifth record say?
NpTl3Te6Pb2: computed powder X-ray diffraction pattern (Cu Kα X-rays), based on a cell relaxed with PBE.
Lines closer than 0.1° are merged.

The 10 most intense peaks (2θ from 15° to 90°), in order of rising 2θ:
| 2θ (°) | I/Imax |
| --- | --- |
| 26.92 | 100 |
| 37.64 | 13 |
| 37.83 | 26 |
| 39.04 | 25 |
| 39.23 | 12 |
| 47.91 | 8 |
| 48.22 | 13 |
| 55.49 | 12 |
| 61.88 | 11 |
| 63.57 | 11 |

Structure:
Unit cell a=7.967 b=7.967 c=8.344 alpha=99.12 beta=99.12 gamma=119.68
Sites, in units of the cell vectors:
Np 0.000 0.000 0.000
Tl 0.171 0.829 0.500
Tl 0.500 0.500 0.500
Tl 0.829 0.171 0.500
Te 0.072 0.381 0.218
Te 0.233 0.233 0.775
Te 0.381 0.072 0.218
Te 0.619 0.928 0.782
Te 0.767 0.767 0.225
Te 0.928 0.619 0.782
Pb 0.335 0.665 0.000
Pb 0.665 0.335 0.000